# 1
Diffraction record for Tm2HPtRh6. The X-ray diffraction stick pattern is simulated, not measured: it uses a structure optimized by DFT (PBE) and Cu Kα, 1.54184 Å.
No peak broadening, texture or thermal motion is included.

Most intense lines, 2θ from 10° to 90°, in order of rising 2θ:
2θ (°)	intensity
34.15	33
35.32	75
36.96	38
37.95	66
38.62	72
39.38	37
40.59	47
42.70	27
42.83	100
56.17	28

Structural model:
```
Tm2HPtRh6
1.0
4.4723 -2.7695 0.0000
4.4723 2.7695 0.0000
-2.9492 0.0000 6.3937
Tm H Pt Rh
2 1 1 6
Direct
0.2327 0.2327 0.1535
0.7673 0.7673 0.8465
0.0000 0.0000 0.5000
0.5000 0.5000 0.0000
0.1806 0.6554 0.6339
0.1970 0.1970 0.7261
0.3446 0.8194 0.3661
0.6554 0.1806 0.6339
0.8030 0.8030 0.2739
0.8194 0.3446 0.3661
```

---

# 2
Diffraction record for UH8Pt2Rh. The X-ray diffraction stick pattern is simulated, not measured: it uses a structure optimized by DFT (PBE) and Cu Kα, 1.54184 Å.
No peak broadening, texture or thermal motion is included.

Most intense lines, 2θ from 10° to 90°, in order of rising 2θ:
2θ (°)	intensity
15.52	74
25.88	50
36.06	100
37.79	74
39.47	49
48.50	20
53.22	29
64.83	19
65.97	30
88.62	18

Structural model:
```
UH8Pt2Rh
1.0
4.9820 0.0000 0.0000
-2.4910 4.3145 0.0000
0.0000 0.0000 5.7092
U H Pt Rh
1 8 2 1
Direct
0.0000 0.0000 0.0000
0.1708 0.3415 0.3384
0.1708 0.8292 0.3384
0.3333 0.6667 0.8413
0.3415 0.1708 0.6616
0.6585 0.8292 0.3384
0.6667 0.3333 0.1587
0.8292 0.1708 0.6616
0.8292 0.6585 0.6616
0.3333 0.6667 0.1230
0.6667 0.3333 0.8770
0.0000 0.0000 0.5000
```

---

# 3
Diffraction record for YH8Pt2Rh3. The X-ray diffraction stick pattern is simulated, not measured: it uses a structure optimized by DFT (PBE) and Cu Kα, 1.54184 Å.
No peak broadening, texture or thermal motion is included.

Most intense lines, 2θ from 10° to 90°, in order of rising 2θ:
2θ (°)	intensity
19.18	14
31.59	33
37.02	35
37.16	100
38.65	14
38.92	34
59.91	38
65.61	18
65.97	18
79.16	11

Structural model:
```
YH8Pt2Rh3
1.0
2.8320 1.6351 4.6588
-2.8320 1.6351 4.6588
0.0000 -3.2702 4.6588
Y H Pt Rh
1 8 2 3
Direct
0.0000 0.0000 0.0000
0.3224 0.3224 0.8830
0.3224 0.8830 0.3224
0.3878 0.3878 0.3878
0.4750 0.8427 0.8427
0.8427 0.4750 0.8427
0.8427 0.8427 0.4750
0.8458 0.8458 0.8458
0.8830 0.3224 0.3224
0.2567 0.2567 0.2567
0.6218 0.6218 0.6218
0.1316 0.6264 0.6264
0.6264 0.1316 0.6264
0.6264 0.6264 0.1316
```